# 1
Diffraction record for Pm6Sm2DyEr. The powder diffraction line list is calculated, not measured: it uses a crystal structure in Alexandria, relaxed with PBE and copper Kα.

Atomic structure:
abc: 9.191 15.335 9.717
angles: 90.00 97.95 90.00
Space group C2/c (No. 15)
Unique sites:
Pm (0.060, 0.183, 0.445) [8 per cell]
Pm (0.103, 0.393, 0.619) [8 per cell]
Pm (0.207, 0.222, 0.811) [8 per cell]
Sm (0.249, 0.051, 0.044) [8 per cell]
Dy (0.000, 0.023, 0.750) [4 per cell]
Er (0.000, 0.409, 0.250) [4 per cell]

Largest 10 diffraction maxima, most intense first, 2θ from 15° to 90°:
31.11 deg, rel. 100, (2 2 2); 30.20 deg, rel. 100, (3 1 -1); 30.76 deg, rel. 45, (1 5 0); 33.29 deg, rel. 43, (1 3 -3); 28.20 deg, rel. 39, (1 3 2); 31.77 deg, rel. 20, (1 5 -1); 27.62 deg, rel. 19, (2 2 -2); 33.96 deg, rel. 15, (2 2 -3); 53.21 deg, rel. 12, (3 7 1); 50.13 deg, rel. 12, (1 1 5)


# 2
Diffraction record for Hf3InOs2. The powder diffraction line list is calculated, not measured: it uses a crystal structure in Alexandria, relaxed with PBE and copper Kα.

Atomic structure:
abc: 3.190 3.190 11.221
angles: 90.00 90.00 90.00
Space group P4/mmm (No. 123)
Unique sites:
Hf (0.000, 0.000, 0.000) [1 per cell]
Hf (0.000, 0.000, 0.296) [2 per cell]
In (0.500, 0.500, 0.500) [1 per cell]
Os (0.500, 0.500, 0.150) [2 per cell]

Largest 10 diffraction maxima, most intense first, 2θ from 15° to 90°:
37.04 deg, rel. 100, (1 0 3); 39.97 deg, rel. 50, (1 1 0); 70.67 deg, rel. 31, (2 1 3); 42.93 deg, rel. 20, (1 0 4); 57.81 deg, rel. 17, (2 0 0); 64.75 deg, rel. 10, (1 1 6); 72.31 deg, rel. 9, (1 1 7); 74.64 deg, rel. 8, (2 1 4); 85.98 deg, rel. 6, (2 0 7); 48.69 deg, rel. 6, (0 0 6)


What did the second record say?
Diffraction record for Hf3InOs2. The powder diffraction line list is calculated, not measured: it uses a crystal structure in Alexandria, relaxed with PBE and copper Kα.

Atomic structure:
abc: 3.190 3.190 11.221
angles: 90.00 90.00 90.00
Space group P4/mmm (No. 123)
Unique sites:
Hf (0.000, 0.000, 0.000) [1 per cell]
Hf (0.000, 0.000, 0.296) [2 per cell]
In (0.500, 0.500, 0.500) [1 per cell]
Os (0.500, 0.500, 0.150) [2 per cell]

Largest 10 diffraction maxima, most intense first, 2θ from 15° to 90°:
37.04 deg, rel. 100, (1 0 3); 39.97 deg, rel. 50, (1 1 0); 70.67 deg, rel. 31, (2 1 3); 42.93 deg, rel. 20, (1 0 4); 57.81 deg, rel. 17, (2 0 0); 64.75 deg, rel. 10, (1 1 6); 72.31 deg, rel. 9, (1 1 7); 74.64 deg, rel. 8, (2 1 4); 85.98 deg, rel. 6, (2 0 7); 48.69 deg, rel. 6, (0 0 6)


Please write out number 1 again, unchanged.
Diffraction record for Pm6Sm2DyEr. The powder diffraction line list is calculated, not measured: it uses a crystal structure in Alexandria, relaxed with PBE and copper Kα.

Atomic structure:
abc: 9.191 15.335 9.717
angles: 90.00 97.95 90.00
Space group C2/c (No. 15)
Unique sites:
Pm (0.060, 0.183, 0.445) [8 per cell]
Pm (0.103, 0.393, 0.619) [8 per cell]
Pm (0.207, 0.222, 0.811) [8 per cell]
Sm (0.249, 0.051, 0.044) [8 per cell]
Dy (0.000, 0.023, 0.750) [4 per cell]
Er (0.000, 0.409, 0.250) [4 per cell]

Largest 10 diffraction maxima, most intense first, 2θ from 15° to 90°:
31.11 deg, rel. 100, (2 2 2); 30.20 deg, rel. 100, (3 1 -1); 30.76 deg, rel. 45, (1 5 0); 33.29 deg, rel. 43, (1 3 -3); 28.20 deg, rel. 39, (1 3 2); 31.77 deg, rel. 20, (1 5 -1); 27.62 deg, rel. 19, (2 2 -2); 33.96 deg, rel. 15, (2 2 -3); 53.21 deg, rel. 12, (3 7 1); 50.13 deg, rel. 12, (1 1 5)


What did the first record say?
Diffraction record for Pm6Sm2DyEr. The powder diffraction line list is calculated, not measured: it uses a crystal structure in Alexandria, relaxed with PBE and copper Kα.

Atomic structure:
abc: 9.191 15.335 9.717
angles: 90.00 97.95 90.00
Space group C2/c (No. 15)
Unique sites:
Pm (0.060, 0.183, 0.445) [8 per cell]
Pm (0.103, 0.393, 0.619) [8 per cell]
Pm (0.207, 0.222, 0.811) [8 per cell]
Sm (0.249, 0.051, 0.044) [8 per cell]
Dy (0.000, 0.023, 0.750) [4 per cell]
Er (0.000, 0.409, 0.250) [4 per cell]

Largest 10 diffraction maxima, most intense first, 2θ from 15° to 90°:
31.11 deg, rel. 100, (2 2 2); 30.20 deg, rel. 100, (3 1 -1); 30.76 deg, rel. 45, (1 5 0); 33.29 deg, rel. 43, (1 3 -3); 28.20 deg, rel. 39, (1 3 2); 31.77 deg, rel. 20, (1 5 -1); 27.62 deg, rel. 19, (2 2 -2); 33.96 deg, rel. 15, (2 2 -3); 53.21 deg, rel. 12, (3 7 1); 50.13 deg, rel. 12, (1 1 5)